The following is a calculated powder X-ray diffraction pattern of Ti6CoIr2. It was derived from the GGA-PBE geometry in Alexandria, using CuKα.
Lines closer than 0.1° are merged.

Main lines, by angle (5 to 70 degrees two-theta):
2theta  intensity
14.1  7
16.4  12
25.8  58
25.9  57
29.5  7
42.8  100
43.1  20
50.6  37
50.9  18
62.3  13
68.3  11
68.5  7

Atomic structure:
Cell lengths 7.291, 7.291, 7.291 Å; angles 146.24, 131.50, 60.39 degrees
Sites, in units of the cell vectors:
Ti: 0.082 0.337 0.745
Ti: 0.240 0.000 0.240
Ti: 0.408 0.663 0.745
Ti: 0.592 0.337 0.255
Ti: 0.760 0.000 0.760
Ti: 0.918 0.663 0.255
Co: 0.000 0.500 0.500
Ir: 0.334 0.834 0.500
Ir: 0.666 0.166 0.500